TbPm4Mg: computed powder X-ray diffraction pattern (Cu Kα (weighted mean of Kα1 and Kα2)), based on a PBE-relaxed structure.
Peak positions follow from Bragg's law for the DFT cell and can differ from measured ones.

Principal peaks in the range 2θ from 15° to 90°, by angle:
| Position (°2θ) | intensity |
| --- | --- |
| 27.3 | 10 |
| 30.7 | 100 |
| 34.7 | 37 |
| 37.2 | 13 |
| 49.9 | 13 |
| 51.8 | 20 |
| 59.8 | 33 |
| 63.1 | 9 |
| 63.9 | 11 |
| 84.5 | 8 |

Atomic structure:
Cell lengths 3.6520, 3.6520, 14.5019 Å; angles 90.00, 90.00, 90.00 degrees
Fractional coordinates of all 6 atoms:
Tb: 0.0000 0.0000 0.0000
Pm: 0.0000 0.0000 0.3487
Pm: 0.0000 0.0000 0.6513
Pm: 0.5000 0.5000 0.1744
Pm: 0.5000 0.5000 0.8256
Mg: 0.5000 0.5000 0.5000

***

AsWBr: computed powder X-ray diffraction pattern (Cu Kα (weighted mean of Kα1 and Kα2)), based on a PBE-relaxed structure.
Peak positions follow from Bragg's law for the DFT cell and can differ from measured ones.

Principal peaks in the range 2θ from 15° to 90°, by angle:
| Position (°2θ) | intensity |
| --- | --- |
| 31.9 | 12 |
| 34.3 | 100 |
| 40.9 | 79 |
| 50.3 | 30 |
| 56.8 | 26 |
| 58.4 | 12 |
| 68.1 | 14 |
| 72.4 | 15 |
| 74.7 | 12 |
| 80.0 | 19 |

Atomic structure:
Cell lengths 3.2415, 3.2415, 7.1265 Å; angles 90.00, 90.00, 120.00 degrees
Fractional coordinates of all 3 atoms:
As: 0.0000 0.0000 0.0000
W: 0.3333 0.6667 0.7477
Br: 0.6667 0.3333 0.4836

***

Ce4ZnGa3: computed powder X-ray diffraction pattern (Cu Kα (weighted mean of Kα1 and Kα2)), based on a PBE-relaxed structure.
Peak positions follow from Bragg's law for the DFT cell and can differ from measured ones.

Principal peaks in the range 2θ from 15° to 90°, by angle:
| Position (°2θ) | intensity |
| --- | --- |
| 24.3 | 12 |
| 34.7 | 51 |
| 35.1 | 100 |
| 49.9 | 18 |
| 51.0 | 9 |
| 62.4 | 37 |
| 63.1 | 18 |
| 74.1 | 11 |
| 83.6 | 8 |
| 83.8 | 8 |

Atomic structure:
Cell lengths 3.5831, 5.1726, 10.3508 Å; angles 90.00, 90.00, 90.00 degrees
Fractional coordinates of all 8 atoms:
Ce: 0.0000 0.0000 0.0000
Ce: 0.0000 0.0000 0.5000
Ce: 0.0000 0.5000 0.2483
Ce: 0.0000 0.5000 0.7517
Zn: 0.5000 0.5000 0.5000
Ga: 0.5000 0.0000 0.2549
Ga: 0.5000 0.0000 0.7451
Ga: 0.5000 0.5000 0.0000

***

Ce6PaGe3: computed powder X-ray diffraction pattern (Cu Kα (weighted mean of Kα1 and Kα2)), based on a PBE-relaxed structure.
Peak positions follow from Bragg's law for the DFT cell and can differ from measured ones.

Principal peaks in the range 2θ from 15° to 90°, by angle:
| Position (°2θ) | intensity |
| --- | --- |
| 16.8 | 40 |
| 21.9 | 50 |
| 22.5 | 18 |
| 26.0 | 43 |
| 32.8 | 100 |
| 36.9 | 89 |
| 37.2 | 76 |
| 48.2 | 27 |
| 53.4 | 18 |
| 54.1 | 20 |

Atomic structure:
Cell lengths 8.3966, 8.3966, 8.3966 Å; angles 99.24, 99.24, 99.24 degrees
Fractional coordinates of all 20 atoms:
Ce: 0.0159 0.6787 0.9332
Ce: 0.0668 0.9841 0.3213
Ce: 0.1827 0.4317 0.5713
Ce: 0.3213 0.0668 0.9841
Ce: 0.4287 0.8173 0.5683
Ce: 0.4317 0.5713 0.1827
Ce: 0.5683 0.4287 0.8173
Ce: 0.5713 0.1827 0.4317
Ce: 0.6787 0.9332 0.0159
Ce: 0.8173 0.5683 0.4287
Ce: 0.9332 0.0159 0.6787
Ce: 0.9841 0.3213 0.0668
Pa: 0.0000 0.0000 0.0000
Pa: 0.5000 0.5000 0.5000
Ge: 0.1265 0.6400 0.2993
Ge: 0.2993 0.1265 0.6400
Ge: 0.3600 0.7007 0.8735
Ge: 0.6400 0.2993 0.1265
Ge: 0.7007 0.8735 0.3600
Ge: 0.8735 0.3600 0.7007

***

K3Pb8Au3: computed powder X-ray diffraction pattern (Cu Kα (weighted mean of Kα1 and Kα2)), based on a PBE-relaxed structure.
Peak positions follow from Bragg's law for the DFT cell and can differ from measured ones.

Principal peaks in the range 2θ from 15° to 90°, by angle:
| Position (°2θ) | intensity |
| --- | --- |
| 16.4 | 39 |
| 18.8 | 42 |
| 19.5 | 42 |
| 29.6 | 100 |
| 30.4 | 39 |
| 32.4 | 74 |
| 34.2 | 80 |
| 35.7 | 51 |
| 37.9 | 57 |
| 38.6 | 84 |

Atomic structure:
Cell lengths 9.6402, 9.6402, 10.8366 Å; angles 124.15, 124.15, 31.55 degrees
Fractional coordinates of all 14 atoms:
K: 0.0000 0.0000 0.0000
K: 0.2870 0.2870 0.2941
K: 0.7130 0.7130 0.7059
Pb: 0.1500 0.1500 0.4390
Pb: 0.1535 0.1535 0.8645
Pb: 0.3553 0.3553 0.9645
Pb: 0.4990 0.4990 0.3335
Pb: 0.5010 0.5010 0.6665
Pb: 0.6447 0.6447 0.0355
Pb: 0.8465 0.8465 0.1355
Pb: 0.8500 0.8500 0.5610
Au: 0.0000 0.0000 0.5000
Au: 0.3455 0.3455 0.6852
Au: 0.6545 0.6545 0.3148

***

Sm3Dy2Al2: computed powder X-ray diffraction pattern (Cu Kα (weighted mean of Kα1 and Kα2)), based on a PBE-relaxed structure.
Peak positions follow from Bragg's law for the DFT cell and can differ from measured ones.

Principal peaks in the range 2θ from 15° to 90°, by angle:
| Position (°2θ) | intensity |
| --- | --- |
| 25.2 | 18 |
| 28.9 | 27 |
| 32.2 | 100 |
| 35.7 | 47 |
| 46.3 | 9 |
| 50.4 | 11 |
| 51.4 | 17 |
| 55.0 | 11 |
| 56.3 | 12 |
| 62.0 | 31 |

Atomic structure:
Cell lengths 15.8460, 15.8460, 15.8460 Å; angles 167.12, 167.12, 18.25 degrees
Fractional coordinates of all 7 atoms:
Sm: 0.0000 0.0000 0.0000
Sm: 0.1263 0.1263 0.0000
Sm: 0.8737 0.8737 0.0000
Dy: 0.2892 0.2892 0.0000
Dy: 0.7108 0.7108 0.0000
Al: 0.4361 0.4361 0.0000
Al: 0.5639 0.5639 0.0000

***

LiMnPd: computed powder X-ray diffraction pattern (Cu Kα (weighted mean of Kα1 and Kα2)), based on a PBE-relaxed structure.
Peak positions follow from Bragg's law for the DFT cell and can differ from measured ones.

Principal peaks in the range 2θ from 15° to 90°, by angle:
| Position (°2θ) | intensity |
| --- | --- |
| 24.2 | 100 |
| 33.3 | 34 |
| 41.6 | 58 |
| 42.5 | 78 |
| 49.5 | 14 |
| 55.0 | 47 |
| 61.0 | 18 |
| 77.1 | 18 |
| 77.8 | 12 |
| 87.3 | 12 |

Atomic structure:
Cell lengths 4.2544, 4.2544, 5.3786 Å; angles 90.00, 90.00, 120.00 degrees
Fractional coordinates of all 6 atoms:
Li: 0.0000 0.0000 0.0000
Li: 0.0000 0.0000 0.5000
Mn: 0.6667 0.3333 0.1787
Mn: 0.6667 0.3333 0.8213
Pd: 0.3333 0.6667 0.2447
Pd: 0.3333 0.6667 0.7553

***

Tl5SnHg2: computed powder X-ray diffraction pattern (Cu Kα (weighted mean of Kα1 and Kα2)), based on a PBE-relaxed structure.
Peak positions follow from Bragg's law for the DFT cell and can differ from measured ones.

Principal peaks in the range 2θ from 15° to 90°, by angle:
| Position (°2θ) | intensity |
| --- | --- |
| 32.4 | 100 |
| 32.7 | 49 |
| 46.0 | 10 |
| 47.0 | 18 |
| 57.6 | 20 |
| 58.2 | 39 |
| 67.9 | 12 |
| 76.5 | 9 |
| 78.0 | 8 |
| 78.1 | 8 |

Atomic structure:
Cell lengths 6.7443, 6.7443, 6.7446 Å; angles 110.00, 110.00, 108.38 degrees
Fractional coordinates of all 8 atoms:
Tl: 0.0000 0.0000 0.0000
Tl: 0.9995 0.5029 0.5027
Tl: 0.0057 0.0057 0.5033
Tl: 0.5029 0.9995 0.5027
Tl: 0.5030 0.5030 0.0067
Sn: 0.4974 0.4974 0.5036
Hg: 0.0008 0.5010 0.0029
Hg: 0.5010 0.0008 0.0029

***

LiPBr3: computed powder X-ray diffraction pattern (Cu Kα (weighted mean of Kα1 and Kα2)), based on a PBE-relaxed structure.
Peak positions follow from Bragg's law for the DFT cell and can differ from measured ones.

Principal peaks in the range 2θ from 15° to 90°, by angle:
| Position (°2θ) | intensity |
| --- | --- |
| 20.7 | 100 |
| 25.5 | 74 |
| 26.3 | 40 |
| 27.0 | 49 |
| 28.9 | 35 |
| 30.0 | 30 |
| 32.1 | 45 |
| 36.6 | 56 |
| 49.7 | 36 |
| 51.0 | 29 |

Atomic structure:
Cell lengths 7.7355, 4.9040, 9.3884 Å; angles 90.00, 107.62, 90.00 degrees
Fractional coordinates of all 10 atoms:
Li: 0.1423 0.2500 0.0618
Li: 0.8577 0.7500 0.9382
P: 0.4957 0.2500 0.4882
P: 0.5043 0.7500 0.5118
Br: 0.1912 0.2500 0.3735
Br: 0.1998 0.7500 0.0032
Br: 0.3918 0.7500 0.7055
Br: 0.6082 0.2500 0.2945
Br: 0.8002 0.2500 0.9968
Br: 0.8088 0.7500 0.6265

***

Al2TlAu3: computed powder X-ray diffraction pattern (Cu Kα (weighted mean of Kα1 and Kα2)), based on a PBE-relaxed structure.
Peak positions follow from Bragg's law for the DFT cell and can differ from measured ones.

Principal peaks in the range 2θ from 15° to 90°, by angle:
| Position (°2θ) | intensity |
| --- | --- |
| 27.3 | 11 |
| 30.1 | 38 |
| 30.8 | 14 |
| 31.6 | 100 |
| 35.0 | 8 |
| 41.8 | 11 |
| 42.2 | 12 |
| 43.6 | 10 |
| 44.6 | 20 |
| 56.3 | 15 |

Atomic structure:
Cell lengths 7.0259, 7.0259, 5.6647 Å; angles 90.00, 90.00, 68.29 degrees
Fractional coordinates of all 12 atoms:
Al: 0.1846 0.1846 0.0000
Al: 0.1846 0.1846 0.5000
Al: 0.8154 0.8154 0.0000
Al: 0.8154 0.8154 0.5000
Tl: 0.3540 0.6460 0.7500
Tl: 0.6460 0.3540 0.2500
Au: 0.0849 0.9151 0.2500
Au: 0.1036 0.5059 0.2500
Au: 0.4941 0.8964 0.2500
Au: 0.5059 0.1036 0.7500
Au: 0.8964 0.4941 0.7500
Au: 0.9151 0.0849 0.7500

***

Ba4TeAsI2: computed powder X-ray diffraction pattern (Cu Kα (weighted mean of Kα1 and Kα2)), based on a PBE-relaxed structure.
Peak positions follow from Bragg's law for the DFT cell and can differ from measured ones.

Principal peaks in the range 2θ from 15° to 90°, by angle:
| Position (°2θ) | intensity |
| --- | --- |
| 25.3 | 100 |
| 35.7 | 12 |
| 36.0 | 23 |
| 36.3 | 26 |
| 36.6 | 13 |
| 44.6 | 7 |
| 45.0 | 14 |
| 52.0 | 12 |
| 58.5 | 9 |
| 59.0 | 11 |

Atomic structure:
Cell lengths 8.5863, 4.9139, 8.7017 Å; angles 90.00, 108.90, 90.00 degrees
Fractional coordinates of all 8 atoms:
Ba: 0.2236 0.0000 0.2131
Ba: 0.2438 0.5000 0.7796
Ba: 0.7562 0.5000 0.2204
Ba: 0.7764 0.0000 0.7869
Te: 0.5000 0.0000 0.0000
As: 0.0000 0.5000 0.0000
I: 0.0000 0.0000 0.5000
I: 0.5000 0.5000 0.5000

***

Please write out number 5 again, unchanged.
K3Pb8Au3: computed powder X-ray diffraction pattern (Cu Kα (weighted mean of Kα1 and Kα2)), based on a PBE-relaxed structure.
Peak positions follow from Bragg's law for the DFT cell and can differ from measured ones.

Principal peaks in the range 2θ from 15° to 90°, by angle:
| Position (°2θ) | intensity |
| --- | --- |
| 16.4 | 39 |
| 18.8 | 42 |
| 19.5 | 42 |
| 29.6 | 100 |
| 30.4 | 39 |
| 32.4 | 74 |
| 34.2 | 80 |
| 35.7 | 51 |
| 37.9 | 57 |
| 38.6 | 84 |

Atomic structure:
Cell lengths 9.6402, 9.6402, 10.8366 Å; angles 124.15, 124.15, 31.55 degrees
Fractional coordinates of all 14 atoms:
K: 0.0000 0.0000 0.0000
K: 0.2870 0.2870 0.2941
K: 0.7130 0.7130 0.7059
Pb: 0.1500 0.1500 0.4390
Pb: 0.1535 0.1535 0.8645
Pb: 0.3553 0.3553 0.9645
Pb: 0.4990 0.4990 0.3335
Pb: 0.5010 0.5010 0.6665
Pb: 0.6447 0.6447 0.0355
Pb: 0.8465 0.8465 0.1355
Pb: 0.8500 0.8500 0.5610
Au: 0.0000 0.0000 0.5000
Au: 0.3455 0.3455 0.6852
Au: 0.6545 0.6545 0.3148

***

Repeat the seventh record exactly.
LiMnPd: computed powder X-ray diffraction pattern (Cu Kα (weighted mean of Kα1 and Kα2)), based on a PBE-relaxed structure.
Peak positions follow from Bragg's law for the DFT cell and can differ from measured ones.

Principal peaks in the range 2θ from 15° to 90°, by angle:
| Position (°2θ) | intensity |
| --- | --- |
| 24.2 | 100 |
| 33.3 | 34 |
| 41.6 | 58 |
| 42.5 | 78 |
| 49.5 | 14 |
| 55.0 | 47 |
| 61.0 | 18 |
| 77.1 | 18 |
| 77.8 | 12 |
| 87.3 | 12 |

Atomic structure:
Cell lengths 4.2544, 4.2544, 5.3786 Å; angles 90.00, 90.00, 120.00 degrees
Fractional coordinates of all 6 atoms:
Li: 0.0000 0.0000 0.0000
Li: 0.0000 0.0000 0.5000
Mn: 0.6667 0.3333 0.1787
Mn: 0.6667 0.3333 0.8213
Pd: 0.3333 0.6667 0.2447
Pd: 0.3333 0.6667 0.7553